1.
# InCuSnS4
Simulated X-ray diffraction stick pattern, a wavelength of 1.5418 Å. Input: a PBE-relaxed structure.
Neutral-atom scattering factors, no anomalous dispersion.

Atomic structure:
Cell: 7.482 7.482 7.482 Å, 119.88 119.87 90.22°
Atoms (fractional coordinates):
In1 0.000 0.000 0.000
In2 0.500 0.000 0.500
Cu1 0.372 0.622 0.750
Cu2 0.628 0.378 0.250
Sn1 0.000 0.000 0.500
Sn2 0.000 0.500 0.000
S1 0.244 0.240 0.496
S2 0.244 0.748 0.004
S3 0.244 0.748 0.495
S4 0.247 0.252 0.995
S5 0.753 0.748 0.005
S6 0.756 0.252 0.505
S7 0.756 0.252 0.996
S8 0.756 0.760 0.504

The 10 most intense peaks (2θ = 5–70°), in order of falling intensity:
2θ = 27.9°, rel. 100
2θ = 48.7°, rel. 48
2θ = 33.8°, rel. 33
2θ = 14.5°, rel. 30
2θ = 44.4°, rel. 29
2θ = 48.6°, rel. 24
2θ = 34.0°, rel. 16
2θ = 57.0°, rel. 13
2θ = 23.8°, rel. 13
2θ = 67.9°, rel. 12


2.
# Zn2InCuS4
Simulated X-ray diffraction stick pattern, a wavelength of 1.5418 Å. Input: a PBE-relaxed structure.
Neutral-atom scattering factors, no anomalous dispersion.

Atomic structure:
Cell: 6.751 6.751 6.751 Å, 131.84 131.84 70.49°
Atoms (fractional coordinates):
Zn1 0.250 0.750 0.500
Zn2 0.750 0.250 0.500
In1 0.000 0.000 0.000
Cu1 0.500 0.500 0.000
S1 0.136 0.607 0.000
S2 0.393 0.393 0.528
S3 0.607 0.136 0.000
S4 0.864 0.864 0.472

The 10 most intense peaks (2θ = 5–70°), in order of falling intensity:
2θ = 28.0°, rel. 100
2θ = 46.6°, rel. 59
2θ = 55.3°, rel. 41
2θ = 32.5°, rel. 16
2θ = 68.1°, rel. 9
2θ = 58.0°, rel. 4
2θ = 18.0°, rel. 3
2θ = 37.4°, rel. 2
2θ = 29.2°, rel. 2
2θ = 44.2°, rel. 1


3.
# Sc2InCu2
Simulated X-ray diffraction stick pattern, a wavelength of 1.5418 Å. Input: a PBE-relaxed structure.
Neutral-atom scattering factors, no anomalous dispersion.

Atomic structure:
Cell: 7.341 7.341 3.384 Å, 90.00 90.00 90.00°
Atoms (fractional coordinates):
Sc1 0.168 0.332 0.000
Sc2 0.332 0.832 0.000
Sc3 0.668 0.168 0.000
Sc4 0.832 0.668 0.000
In1 0.000 0.000 0.500
In2 0.500 0.500 0.500
Cu1 0.124 0.624 0.500
Cu2 0.376 0.124 0.500
Cu3 0.624 0.876 0.500
Cu4 0.876 0.376 0.500

The 10 most intense peaks (2θ = 5–70°), in order of falling intensity:
2θ = 38.2°, rel. 100
2θ = 38.8°, rel. 94
2θ = 36.1°, rel. 59
2θ = 47.5°, rel. 40
2θ = 26.3°, rel. 34
2θ = 68.6°, rel. 32
2θ = 34.6°, rel. 24
2θ = 54.2°, rel. 19
2θ = 24.2°, rel. 16
2θ = 31.6°, rel. 15


4.
# In11Cu9Se20
Simulated X-ray diffraction stick pattern, a wavelength of 1.5418 Å. Input: a PBE-relaxed structure.
Neutral-atom scattering factors, no anomalous dispersion.

Atomic structure:
Cell: 11.120 11.120 11.120 Å, 106.85 106.85 114.84°
Atoms (fractional coordinates):
In1 0.000 0.000 0.000
In2 0.095 0.687 0.793
In3 0.152 0.055 0.693
In4 0.313 0.106 0.408
In5 0.362 0.459 0.307
In6 0.500 0.500 0.000
In7 0.541 0.848 0.903
In8 0.698 0.905 0.592
In9 0.750 0.250 0.500
In10 0.894 0.302 0.207
In11 0.945 0.638 0.097
Cu1 0.049 0.352 0.892
Cu2 0.200 0.400 0.601
Cu3 0.250 0.750 0.500
Cu4 0.401 0.800 0.200
Cu5 0.460 0.157 0.108
Cu6 0.600 0.200 0.800
Cu7 0.648 0.540 0.697
Cu8 0.800 0.599 0.399
Cu9 0.843 0.951 0.303
Se1 0.014 0.922 0.211
Se2 0.078 0.288 0.092
Se3 0.140 0.619 0.006
Se4 0.197 0.986 0.908
Se5 0.212 0.332 0.792
Se6 0.268 0.659 0.678
Se7 0.341 0.019 0.609
Se8 0.381 0.387 0.520
Se9 0.410 0.732 0.391
Se10 0.471 0.061 0.280
Se11 0.540 0.421 0.208
Se12 0.579 0.788 0.120
Se13 0.613 0.133 0.994
Se14 0.668 0.460 0.880
Se15 0.712 0.803 0.789
Se16 0.781 0.191 0.720
Se17 0.809 0.529 0.590
Se18 0.867 0.860 0.480
Se19 0.939 0.219 0.410
Se20 0.981 0.590 0.322

The 10 most intense peaks (2θ = 5–70°), in order of falling intensity:
2θ = 26.0°, rel. 100
2θ = 42.9°, rel. 49
2θ = 51.1°, rel. 28
2θ = 43.2°, rel. 23
2θ = 50.7°, rel. 15
2θ = 68.7°, rel. 11
2θ = 62.7°, rel. 7
2θ = 69.0°, rel. 5
2θ = 34.7°, rel. 4
2θ = 62.0°, rel. 4